Calculated powder X-ray diffraction pattern
Compound: Mo3O10
Radiation: Cu Ka
Structure: DFT lattice parameters and positions (PBE+U)

Top 8 peaks for 2θ = 15–90°, by angle:
two_theta	I (rel.)	hkl
18.4	32	2 0 0
24.4	100	1 2 0
25.9	50	1 0 1
29.0	49	1 1 1
34.6	36	2 1 1
43.0	28	1 4 0
55.4	17	3 3 1
55.9	19	1 2 2

Structural model:
```
data_Mo3O10
_cell_length_a 11.1392
_cell_length_b 11.1392
_cell_length_c 3.6879
_cell_angle_alpha 90.00
_cell_angle_beta 90.00
_cell_angle_gamma 120.00
_symmetry_space_group_name_H-M 'P 63/m'
_symmetry_Int_Tables_number 176
_symmetry_space_group_name_Hall '-P 6c'
loop_
_atom_site_label
_atom_site_type_symbol
_atom_site_fract_x
_atom_site_fract_y
_atom_site_fract_z
Mo1 Mo 0.1119 0.4654 0.2500
O1 O 0.0000 0.0000 0.2500
O2 O 0.0199 0.2890 0.2500
O3 O 0.0796 0.5046 0.7500
O4 O 0.2182 0.7156 0.2500
```

Calculated powder X-ray diffraction pattern
Compound: Mo2O7
Radiation: Cu Ka
Structure: DFT lattice parameters and positions (PBE+U)

Top 8 peaks for 2θ = 15–90°, by angle:
two_theta	I (rel.)	hkl
18.8	50	0 0 2
23.0	97	1 0 2
25.5	29	0 1 1
27.6	100	1 1 -1
28.4	42	1 1 1
28.5	34	2 0 -2
35.2	25	2 1 1
49.9	26	3 1 -3

Structural model:
```
data_Mo2O7
_cell_length_a 7.751
_cell_length_b 3.764
_cell_length_c 9.489
_cell_angle_alpha 90.00
_cell_angle_beta 95.28
_cell_angle_gamma 90.00
_symmetry_space_group_name_H-M 'P 1 21/m 1'
_symmetry_Int_Tables_number 11
loop_
_symmetry_equiv_pos_as_xyz
'x,y,z'
'-x,-y,-z'
'-x,y+1/2,-z'
'x,-y+1/2,z'
loop_
_atom_site_label
_atom_site_type_symbol
_atom_site_fract_x
_atom_site_fract_y
_atom_site_fract_z
Mo1 Mo 0.164 0.250 0.434
Mo2 Mo 0.172 0.750 0.920
O1 O 0.071 0.750 0.746
O2 O 0.082 0.750 0.444
O3 O 0.115 0.250 0.968
O4 O 0.173 0.750 0.149
O5 O 0.297 0.250 0.295
O6 O 0.314 0.250 0.578
O7 O 0.388 0.750 0.904
```

Calculated powder X-ray diffraction pattern
Compound: Mo2OsO6
Radiation: Cu Ka
Structure: DFT lattice parameters and positions (PBE+U)

Top 8 peaks for 2θ = 15–90°, by angle:
two_theta	I (rel.)	hkl
19.3	31	1 1 0
22.9	72	0 1 1
27.9	78	1 1 1
30.1	50	2 0 1
33.7	100	3 0 0
36.0	49	1 2 1
53.8	84	3 0 2
60.3	34	3 3 0

Structural model:
```
data_Mo2OsO6
_cell_length_a 9.2108
_cell_length_b 9.2108
_cell_length_c 4.4396
_cell_angle_alpha 90.00
_cell_angle_beta 90.00
_cell_angle_gamma 120.00
_symmetry_space_group_name_H-M 'P -3 m 1'
_symmetry_Int_Tables_number 164
_symmetry_space_group_name_Hall '-P 3 2"'
loop_
_atom_site_label
_atom_site_type_symbol
_atom_site_fract_x
_atom_site_fract_y
_atom_site_fract_z
Mo1 Mo 0.0000 0.3474 0.0000
Os1 Os 0.0000 0.0000 0.0000
Os2 Os 0.3333 0.6667 0.4861
O1 O 0.1108 0.2216 0.7892
O2 O 0.1215 0.5607 0.7336
O3 O 0.2285 0.4570 0.2475
```

Calculated powder X-ray diffraction pattern
Compound: Mo2P3O14
Radiation: Cu Ka
Structure: DFT lattice parameters and positions (PBE+U)

Top 8 peaks for 2θ = 15–90°, by angle:
two_theta	I (rel.)	hkl
19.3	51	1 1 -1
21.3	18	0 1 -2
21.6	47	0 0 2
27.4	100	2 0 -1
29.0	19	2 0 0
29.4	24	0 2 0
29.6	23	0 2 -2
44.0	25	-3 1 1

Structural model:
```
data_Mo2P3O14
_cell_length_a 6.508
_cell_length_b 6.511
_cell_length_c 9.262
_cell_angle_alpha 110.08
_cell_angle_beta 107.92
_cell_angle_gamma 90.02
_symmetry_space_group_name_H-M 'P 1'
_symmetry_Int_Tables_number 1
loop_
_symmetry_equiv_pos_as_xyz
'x,y,z'
loop_
_atom_site_label
_atom_site_type_symbol
_atom_site_fract_x
_atom_site_fract_y
_atom_site_fract_z
Mo1 Mo 0.000 0.000 0.000
Mo2 Mo 0.426 0.419 0.831
P1 P 0.227 0.078 0.418
P2 P 0.467 0.964 0.925
P3 P 0.966 0.462 0.923
O1 O 0.012 0.325 0.031
O2 O 0.014 0.704 0.032
O3 O 0.110 0.406 0.808
O4 O 0.122 0.128 0.268
O5 O 0.134 0.863 0.435
O6 O 0.309 0.280 0.572
O7 O 0.326 0.016 0.034
O8 O 0.368 0.875 0.408
O9 O 0.417 0.713 0.810
O10 O 0.418 0.100 0.810
O11 O 0.516 0.513 0.037
O12 O 0.704 0.015 0.034
O13 O 0.722 0.407 0.808
O14 O 0.911 0.894 0.793
```

Calculated powder X-ray diffraction pattern
Compound: MoP2O8
Radiation: Cu Ka
Structure: DFT lattice parameters and positions (PBE+U)

Top 8 peaks for 2θ = 15–90°, by angle:
two_theta	I (rel.)	hkl
17.4	12	0 1 2
18.1	78	0 2 1
22.9	100	1 0 2
24.4	18	1 1 2
25.9	25	0 3 1
33.3	39	1 2 3
34.2	14	2 0 0
55.7	15	2 2 5

Structural model:
```
data_MoP2O8
_cell_length_a 5.247
_cell_length_b 10.794
_cell_length_c 11.539
_cell_angle_alpha 90.00
_cell_angle_beta 90.00
_cell_angle_gamma 90.00
_symmetry_space_group_name_H-M 'P 21 21 21'
_symmetry_Int_Tables_number 19
loop_
_symmetry_equiv_pos_as_xyz
'x,y,z'
'-x+1/2,-y,z+1/2'
'x+1/2,-y+1/2,-z'
'-x,y+1/2,-z+1/2'
loop_
_atom_site_label
_atom_site_type_symbol
_atom_site_fract_x
_atom_site_fract_y
_atom_site_fract_z
Mo1 Mo 0.243 0.094 0.154
P1 P 0.235 0.409 0.036
P2 P 0.245 0.356 0.666
O1 O 0.008 0.666 0.241
O2 O 0.015 0.947 0.526
O3 O 0.025 0.339 0.758
O4 O 0.037 0.557 0.457
O5 O 0.222 0.284 0.559
O6 O 0.239 0.277 0.075
O7 O 0.244 0.507 0.648
O8 O 0.246 0.951 0.216
```